# 1
# Ba4Zn2H
Theoretical X-ray diffraction stick pattern, Cu Ka. Input: a DFT-relaxed cell (GGA-PBE, Alexandria).

Most intense lines, 2θ from 10° to 90°, sorted by position:
(1 0 3), 22.42°, I = 16
(1 1 2), 25.14°, I = 100
(1 0 5), 30.69°, I = 41
(1 1 4), 31.03°, I = 52
(2 0 0), 32.57°, I = 61
(2 1 5), 45.36°, I = 28
(2 0 6), 45.76°, I = 19
(2 2 0), 46.72°, I = 22
(3 1 2), 53.78°, I = 24
(3 1 4), 57.15°, I = 18

Structure:
a = 5.499 Å, b = 5.499 Å, c = 17.172 Å
α = 90.00°, β = 90.00°, γ = 90.00°
Space group I4/mmm (No. 139)
One atom of each set of equivalent atoms:
Ba: 0.000 0.000 0.187 (multiplicity 4)
Ba: 0.000 0.500 0.000 (multiplicity 4)
Zn: 0.000 0.000 0.381 (multiplicity 4)
H: 0.000 0.000 0.000 (multiplicity 2)

***

# 2
# Sm2Ga9Ru5
Theoretical X-ray diffraction stick pattern, Cu Ka. Input: a DFT-relaxed cell (GGA-PBE, Alexandria).

Most intense lines, 2θ from 10° to 90°, sorted by position:
(2 0 0), 28.74°, I = 15
(1 1 4), 33.30°, I = 23
(2 1 3), 37.97°, I = 25
(2 0 4), 39.27°, I = 100
(0 0 6), 39.73°, I = 19
(2 2 0), 41.09°, I = 70
(3 0 3), 48.31°, I = 19
(2 2 6), 58.49°, I = 18
(4 0 0), 59.51°, I = 19
(4 2 4), 73.65°, I = 28

Structure:
a = 6.213 Å, b = 6.213 Å, c = 13.611 Å
α = 90.00°, β = 90.00°, γ = 90.00°
Space group I4/mmm (No. 139)
One atom of each set of equivalent atoms:
Sm: 0.000 0.500 0.000 (multiplicity 4)
Ga: 0.000 0.000 0.000 (multiplicity 2)
Ga: 0.209 0.209 0.350 (multiplicity 16)
Ru: 0.000 0.000 0.180 (multiplicity 4)
Ru: 0.000 0.000 0.500 (multiplicity 2)
Ru: 0.000 0.500 0.250 (multiplicity 4)

***

# 3
# TePd2Br2
Theoretical X-ray diffraction stick pattern, Cu Ka. Input: a DFT-relaxed cell (GGA-PBE, Alexandria).

Most intense lines, 2θ from 10° to 90°, sorted by position:
(2 0 -2), 24.95°, I = 41
(0 1 2), 30.68°, I = 100
(3 0 -1), 33.56°, I = 28
(3 0 -2), 34.31°, I = 40
(1 1 -3), 36.56°, I = 39
(0 1 3), 37.98°, I = 18
(2 1 2), 43.22°, I = 66
(1 1 -4), 44.37°, I = 33
(1 0 -5), 47.20°, I = 20
(0 2 0), 47.94°, I = 29

Structure:
a = 8.030 Å, b = 3.795 Å, c = 9.694 Å
α = 90.00°, β = 110.17°, γ = 90.00°
Space group P2_1/m (No. 11)
One atom of each set of equivalent atoms:
Te: 0.209 0.250 0.023 (multiplicity 2)
Pd: 0.061 0.750 0.838 (multiplicity 2)
Pd: 0.445 0.750 0.894 (multiplicity 2)
Br: 0.095 0.750 0.341 (multiplicity 2)
Br: 0.399 0.250 0.706 (multiplicity 2)

***

# 4
# NiAsSe
Theoretical X-ray diffraction stick pattern, Cu Ka. Input: a DFT-relaxed cell (GGA-PBE, Alexandria).

Most intense lines, 2θ from 10° to 90°, sorted by position:
(2 0 0), 30.41°, I = 29
(2 1 0), 34.10°, I = 100
(2 1 1), 37.47°, I = 80
(2 2 0), 43.55°, I = 18
(3 1 1), 51.56°, I = 71
(3 0 2), 56.44°, I = 26
(3 2 1), 58.77°, I = 42
(4 2 1), 73.88°, I = 20
(5 1 1), 85.91°, I = 22
(4 2 3), 89.86°, I = 20

Structure:
a = 5.879 Å, b = 5.879 Å, c = 5.879 Å
α = 90.00°, β = 90.00°, γ = 90.00°
Space group P2_13 (No. 198)
One atom of each set of equivalent atoms:
Ni: 0.003 0.003 0.003 (multiplicity 4)
As: 0.123 0.877 0.377 (multiplicity 4)
Se: 0.121 0.621 0.879 (multiplicity 4)